1.
Starting from a cell relaxed with GGA-PBE, the X-ray diffraction stick pattern of AlH14C4NOF4 was computed for Cu Kα (weighted mean of Kα1 and Kα2).

Main lines, low angle first (10° ≤ 2θ ≤ 80°):
2theta  d_spacing  intensity
10.12  8.743  57.1
10.93  8.094  68.9
11.79  7.506  86.9
14.03  6.313  100.0
17.21  5.152  68.4
18.06  4.912  43.4
20.20  4.396  36.3
20.47  4.338  26.9
22.13  4.018  21.9
28.92  3.087  24.9

Atomic structure:
```
AlH14C4NOF4
1.0
7.941 0.000 0.000
2.798 8.574 0.000
1.985 3.057 8.743
Al H C N O F
2 28 8 2 2 8
direct
0.131 0.419 0.398 Al
0.869 0.581 0.602 Al
0.011 0.000 0.216 H
0.021 0.175 0.044 H
0.060 0.176 0.226 H
0.159 0.833 0.569 H
0.165 0.563 0.812 H
0.177 0.138 0.456 H
0.209 0.570 0.989 H
0.227 0.698 0.242 H
0.284 0.808 0.994 H
0.294 0.980 0.820 H
0.324 0.225 0.731 H
0.388 0.551 0.837 H
0.402 0.809 0.600 H
0.460 0.788 0.843 H
0.540 0.212 0.157 H
0.598 0.191 0.400 H
0.612 0.449 0.163 H
0.676 0.775 0.269 H
0.706 0.020 0.180 H
0.716 0.192 0.006 H
0.773 0.302 0.758 H
0.791 0.430 0.011 H
0.823 0.862 0.544 H
0.835 0.437 0.188 H
0.841 0.167 0.431 H
0.940 0.824 0.774 H
0.979 0.825 0.956 H
0.989 0.000 0.784 H
0.014 0.866 0.832 C
0.246 0.602 0.865 C
0.258 0.835 0.633 C
0.320 0.846 0.870 C
0.680 0.154 0.130 C
0.742 0.165 0.367 C
0.754 0.398 0.135 C
0.986 0.134 0.168 C
0.209 0.789 0.799 N
0.791 0.211 0.201 N
0.074 0.232 0.440 O
0.926 0.768 0.560 O
0.107 0.596 0.231 F
0.130 0.487 0.551 F
0.301 0.770 0.235 F
0.359 0.352 0.350 F
0.641 0.648 0.650 F
0.699 0.230 0.765 F
0.870 0.513 0.449 F
0.893 0.404 0.769 F
```

---

2.
Starting from a cell relaxed with GGA-PBE, the X-ray diffraction stick pattern of Na7AlH2C4O12F4 was computed for Cu Kα (weighted mean of Kα1 and Kα2).

Main lines, low angle first (10° ≤ 2θ ≤ 80°):
2theta  d_spacing  intensity
30.55  2.926  74.3
30.78  2.905  35.6
31.69  2.823  100.0
31.80  2.814  59.4
33.18  2.700  91.1
33.36  2.686  38.1
34.81  2.577  29.4
38.40  2.344  38.3
40.95  2.204  28.4
48.03  1.894  41.4

Atomic structure:
```
Na7AlH2C4O12F4
1.0
6.543 0.000 0.000
3.221 5.946 0.000
1.139 1.076 8.779
Na Al H C O F
7 1 2 4 12 4
direct
0.000 0.000 0.000 Na
0.000 0.500 0.000 Na
0.340 0.385 0.642 Na
0.343 0.881 0.645 Na
0.500 0.000 0.000 Na
0.657 0.119 0.355 Na
0.660 0.615 0.358 Na
0.500 0.500 0.000 Al
0.003 0.772 0.510 H
0.997 0.228 0.490 H
0.176 0.111 0.299 C
0.185 0.613 0.285 C
0.815 0.387 0.715 C
0.824 0.889 0.701 C
0.024 0.256 0.662 O
0.031 0.771 0.621 O
0.165 0.131 0.156 O
0.217 0.608 0.136 O
0.353 0.495 0.374 O
0.358 0.993 0.374 O
0.642 0.007 0.626 O
0.647 0.505 0.626 O
0.783 0.392 0.864 O
0.835 0.869 0.844 O
0.969 0.229 0.379 O
0.976 0.744 0.338 O
0.359 0.394 0.892 F
0.365 0.786 0.894 F
0.635 0.214 0.106 F
0.641 0.606 0.108 F
```

---

3.
Starting from a cell relaxed with GGA-PBE, the X-ray diffraction stick pattern of Al5C2N6F17 was computed for Cu Kα (weighted mean of Kα1 and Kα2).

Main lines, low angle first (10° ≤ 2θ ≤ 80°):
2theta  d_spacing  intensity
21.86  4.066  50.3
23.80  3.739  32.0
24.36  3.653  86.9
25.61  3.478  100.0
28.13  3.172  63.7
29.14  3.064  21.8
30.71  2.911  21.2
48.70  1.870  22.8
49.86  1.829  52.1
51.73  1.767  22.2

Atomic structure:
```
Al5C2N6F17
1.0
4.806 -11.218 0.000
4.806 11.218 0.000
0.000 0.000 3.658
Al C N F
5 2 6 17
direct
0.000 0.000 0.000 Al
0.235 0.394 0.000 Al
0.394 0.235 0.000 Al
0.606 0.765 0.000 Al
0.765 0.606 0.000 Al
0.236 0.764 0.500 C
0.764 0.236 0.500 C
0.145 0.612 0.500 N
0.176 0.824 0.500 N
0.388 0.855 0.500 N
0.612 0.145 0.500 N
0.824 0.176 0.500 N
0.855 0.388 0.500 N
0.000 0.000 0.500 F
0.073 0.189 0.000 F
0.112 0.425 0.000 F
0.189 0.073 0.000 F
0.238 0.393 0.500 F
0.358 0.358 0.000 F
0.393 0.238 0.500 F
0.403 0.597 0.000 F
0.425 0.112 0.000 F
0.575 0.888 0.000 F
0.597 0.403 0.000 F
0.607 0.762 0.500 F
0.642 0.642 0.000 F
0.762 0.607 0.500 F
0.811 0.927 0.000 F
0.888 0.575 0.000 F
0.927 0.811 0.000 F
```